Record 1
The following is a calculated X-ray powder pattern of Ti5V5Si6. It was derived from a structure optimized by DFT (PBE), using Cu Kα, 1.54184 Å.
Kinematic intensities with the Lorentz-polarization factor, no thermal factor.

Crystal structure
```
data_Ti5V5Si6
_chemical_formula_sum 'Ti10 V10 Si12'
_symmetry_space_group_name_H-M 'A m m 2'
_symmetry_Int_Tables_number 38
_cell_length_a 4.9198
_cell_length_b 12.5069
_cell_length_c 7.3841
_cell_angle_alpha 90.00
_cell_angle_beta 90.00
_cell_angle_gamma 90.00
loop_
_symmetry_equiv_pos_as_xyz
'x,y,z'
'-x,-y,z'
'-x,y,z'
'x,-y,z'
'x,y+1/2,z+1/2'
'-x,-y+1/2,z+1/2'
'-x,y+1/2,z+1/2'
'x,-y+1/2,z+1/2'
loop_
_atom_site_label
_atom_site_type_symbol
_atom_site_fract_x
_atom_site_fract_y
_atom_site_fract_z
_atom_site_occupancy
Ti1 Ti 0.0000 0.0000 0.0000 1
Ti2 Ti 0.0000 0.1189 0.6279 1
Ti3 Ti 0.5000 0.1207 0.8666 1
V1 V 0.2500 0.1674 0.2462 1
V2 V 0.5000 0.0000 0.4860 1
Si1 Si 0.0000 0.0000 0.3494 1
Si2 Si 0.0000 0.2003 0.9473 1
Si3 Si 0.5000 0.0000 0.1459 1
Si4 Si 0.5000 0.1975 0.5460 1
```

Main lines, sorted by position (10 to 90 degrees two-theta):
two_theta  d/Å  I_rel  index
41.66  2.168  71  1 1 3
42.09  2.147  56  1 4 2
42.34  2.135  66  1 5 1
42.66  2.120  62  0 3 3
44.24  2.047  49  2 0 2
44.49  2.036  100  2 3 1

Record 2
The following is a calculated X-ray powder pattern of ThCu4Bi. It was derived from a structure optimized by DFT (PBE), using Cu Kα, 1.54184 Å.
Kinematic intensities with the Lorentz-polarization factor, no thermal factor.

Crystal structure
```
data_ThCu4Bi
_chemical_formula_sum 'Th4 Cu16 Bi4'
_symmetry_space_group_name_H-M 'F -4 3 m'
_symmetry_Int_Tables_number 216
_symmetry_space_group_name_Hall 'F -4 2 3'
_cell_length_a 7.5828
_cell_length_b 7.5828
_cell_length_c 7.5828
_cell_angle_alpha 90.00
_cell_angle_beta 90.00
_cell_angle_gamma 90.00
loop_
_atom_site_label
_atom_site_type_symbol
_atom_site_fract_x
_atom_site_fract_y
_atom_site_fract_z
_atom_site_occupancy
Th1 Th 0.0000 0.0000 0.0000 1
Cu1 Cu 0.1262 0.1262 0.6262 1
Bi1 Bi 0.2500 0.2500 0.2500 1
```

Main lines, sorted by position (10 to 90 degrees two-theta):
two_theta  d/Å  I_rel  index
20.28  4.378  24  1 1 1
33.42  2.681  73  2 2 0
39.41  2.286  100  3 1 1
59.74  1.548  29  4 2 2
63.78  1.459  32  3 3 3
70.22  1.340  23  4 4 0